Starting from a structure optimized by DFT (GGA-PBE), the PXRD pattern of La6Pr8Sm was calculated for Cu Kα.
Peak positions follow from Bragg's law for the DFT cell and can differ from measured ones.

Structural model:
```
La6Pr8Sm
1.0
4.800 2.771 6.890
-4.800 2.771 6.890
0.000 -5.542 6.890
La Pr Sm
6 8 1
direct
0.058 0.607 0.763
0.237 0.942 0.393
0.393 0.237 0.942
0.607 0.763 0.058
0.763 0.058 0.607
0.942 0.393 0.237
0.072 0.072 0.072
0.163 0.267 0.585
0.267 0.585 0.163
0.415 0.837 0.733
0.585 0.163 0.267
0.733 0.415 0.837
0.837 0.733 0.415
0.928 0.928 0.928
0.500 0.500 0.500
```

Principal peaks in the range 10 to 90 degrees two-theta, low angle first:
25.86 deg, intensity 19; 29.72 deg, intensity 100; 30.50 deg, intensity 17; 31.98 deg, intensity 9; 32.17 deg, intensity 16; 33.37 deg, intensity 49; 50.27 deg, intensity 31; 57.40 deg, intensity 13; 59.51 deg, intensity 12; 81.59 deg, intensity 9

***

Starting from a structure optimized by DFT (GGA-PBE), the PXRD pattern of La2Pr5Sm was calculated for Cu Kα.
Peak positions follow from Bragg's law for the DFT cell and can differ from measured ones.

Structural model:
```
La2Pr5Sm
1.0
7.407 0.000 0.000
0.000 14.821 0.000
0.000 0.000 5.263
La Pr Sm
4 10 2
direct
0.250 0.124 0.000
0.250 0.624 0.000
0.750 0.376 0.000
0.750 0.876 0.000
0.000 0.000 0.500
0.000 0.251 0.500
0.000 0.749 0.500
0.249 0.376 0.000
0.251 0.876 0.000
0.500 0.249 0.500
0.500 0.500 0.500
0.500 0.751 0.500
0.749 0.124 0.000
0.751 0.624 0.000
0.000 0.500 0.500
0.500 0.000 0.500
```

Principal peaks in the range 10 to 90 degrees two-theta, low angle first:
29.49 deg, intensity 100; 34.07 deg, intensity 17; 34.23 deg, intensity 34; 49.07 deg, intensity 24; 49.19 deg, intensity 12; 58.18 deg, intensity 15; 58.40 deg, intensity 29; 61.19 deg, intensity 13; 79.59 deg, intensity 12; 82.24 deg, intensity 8

***

Starting from a structure optimized by DFT (GGA-PBE), the PXRD pattern of LaPr6Sm4 was calculated for Cu Kα.
Peak positions follow from Bragg's law for the DFT cell and can differ from measured ones.

Structural model:
```
LaPr6Sm4
1.0
-3.323 3.323 9.028
3.323 -3.323 9.028
3.323 3.323 -9.028
La Pr Sm
1 6 4
direct
0.000 0.000 0.000
0.000 0.500 0.500
0.187 0.549 0.000
0.451 0.451 0.638
0.500 0.000 0.500
0.549 0.187 0.000
0.813 0.813 0.362
0.007 0.007 0.378
0.371 0.993 0.000
0.629 0.629 0.622
0.993 0.371 0.000
```

Principal peaks in the range 10 to 90 degrees two-theta, low angle first:
27.40 deg, intensity 38; 28.12 deg, intensity 29; 28.63 deg, intensity 72; 29.69 deg, intensity 35; 30.49 deg, intensity 100; 33.49 deg, intensity 63; 35.42 deg, intensity 41; 38.31 deg, intensity 29; 39.26 deg, intensity 34; 57.40 deg, intensity 30

***

Repeat the third record exactly.
Starting from a structure optimized by DFT (GGA-PBE), the PXRD pattern of LaPr6Sm4 was calculated for Cu Kα.
Peak positions follow from Bragg's law for the DFT cell and can differ from measured ones.

Structural model:
```
LaPr6Sm4
1.0
-3.323 3.323 9.028
3.323 -3.323 9.028
3.323 3.323 -9.028
La Pr Sm
1 6 4
direct
0.000 0.000 0.000
0.000 0.500 0.500
0.187 0.549 0.000
0.451 0.451 0.638
0.500 0.000 0.500
0.549 0.187 0.000
0.813 0.813 0.362
0.007 0.007 0.378
0.371 0.993 0.000
0.629 0.629 0.622
0.993 0.371 0.000
```

Principal peaks in the range 10 to 90 degrees two-theta, low angle first:
27.40 deg, intensity 38; 28.12 deg, intensity 29; 28.63 deg, intensity 72; 29.69 deg, intensity 35; 30.49 deg, intensity 100; 33.49 deg, intensity 63; 35.42 deg, intensity 41; 38.31 deg, intensity 29; 39.26 deg, intensity 34; 57.40 deg, intensity 30